Diffraction record for LiBH4. The PXRD pattern is computed, not measured: it uses DFT lattice parameters and positions (PBE) and Cu Kα (weighted mean of Kα1 and Kα2).

Cell and atoms:
```
LiBH4
1.0
7.200 0.000 0.000
0.000 4.411 0.000
0.000 0.000 6.738
Li B H
4 4 16
Cartesian
1.133 1.103 0.734
2.467 3.308 4.103
4.733 1.103 2.635
6.067 3.308 6.004
1.375 3.308 6.230
2.225 1.103 2.861
4.976 3.308 3.877
5.825 1.103 0.508
0.637 3.308 0.468
0.705 3.308 5.199
1.499 0.116 2.871
1.499 2.089 2.871
2.101 2.322 6.240
2.101 4.294 6.240
2.895 1.103 1.830
2.963 1.103 3.837
4.237 3.308 2.901
4.306 3.308 4.908
5.099 0.116 0.498
5.099 2.089 0.498
5.701 2.322 3.867
5.701 4.294 3.867
6.495 1.103 1.539
6.564 1.103 6.270
```

Peak list (6 most intense, 10° ≤ 2θ ≤ 90°, in order of rising 2θ)
two_theta  Rel. int.
18.0  100
24.1  93
24.7  62
26.5  29
27.2  53
51.1  28

Diffraction record for HoSiRh. The PXRD pattern is computed, not measured: it uses DFT lattice parameters and positions (PBE) and Cu Kα (weighted mean of Kα1 and Kα2).

Cell and atoms:
```
HoSiRh
1.0
6.884 0.000 0.000
0.000 4.241 0.000
0.000 0.000 7.400
Ho Si Rh
4 4 4
Cartesian
0.003 1.060 1.405
6.881 3.181 5.995
3.445 1.060 2.295
3.439 3.181 5.105
1.409 1.060 4.472
2.033 3.181 0.772
4.851 1.060 6.628
5.475 3.181 2.928
1.062 3.181 3.184
2.380 1.060 6.884
4.504 3.181 0.516
5.822 1.060 4.217
```

Peak list (6 most intense, 10° ≤ 2θ ≤ 90°, in order of rising 2θ)
two_theta  Rel. int.
24.2  23
34.7  67
35.7  100
42.4  27
42.6  30
68.8  25

Diffraction record for Eu2HoTaO6. The PXRD pattern is computed, not measured: it uses DFT lattice parameters and positions (PBE) and Cu Kα (weighted mean of Kα1 and Kα2).

Cell and atoms:
```
Eu2HoTaO6
1.0
0.000 4.194 4.194
4.194 0.000 4.194
4.194 4.194 0.000
Eu Ho Ta O
2 1 1 6
Cartesian
2.097 2.097 2.097
6.291 6.291 6.291
0.000 0.000 0.000
4.194 4.194 4.194
4.194 4.194 2.199
4.194 2.199 4.194
6.189 4.194 4.194
2.199 4.194 4.194
4.194 6.189 4.194
4.194 4.194 6.189
```

Peak list (6 most intense, 10° ≤ 2θ ≤ 90°, in order of rising 2θ)
two_theta  Rel. int.
30.1  100
43.1  27
53.5  41
62.7  17
71.1  18
86.9  22

Diffraction record for Er12Co7. The PXRD pattern is computed, not measured: it uses DFT lattice parameters and positions (PBE) and Cu Kα (weighted mean of Kα1 and Kα2).

Cell and atoms:
```
Er12Co7
1.0
8.203 0.000 0.000
0.000 11.076 0.000
-6.263 0.000 8.959
Er Co
24 14
Cartesian
-2.127 1.748 3.063
-5.258 3.790 7.543
-3.138 6.324 7.198
-0.007 10.291 2.719
0.958 2.208 1.567
-2.173 3.330 6.047
-1.196 7.810 4.815
1.936 8.804 0.336
-3.498 0.800 8.182
-0.366 4.738 3.702
1.938 5.591 1.302
-1.193 11.023 5.781
3.134 0.053 3.178
0.002 5.485 7.657
2.307 6.339 5.257
5.438 10.276 0.777
0.004 2.272 8.623
3.136 3.266 4.144
4.113 7.747 2.912
0.982 8.868 7.392
1.947 0.785 6.240
5.079 4.753 1.761
7.198 7.286 1.416
4.067 9.328 5.895
0.000 0.000 0.000
-3.132 5.538 4.479
-3.693 1.088 5.374
-0.562 4.451 0.895
1.150 7.636 3.078
-1.982 8.979 7.558
0.427 1.894 4.204
-2.704 3.644 8.683
4.644 7.432 0.275
1.513 9.183 4.755
3.922 2.097 1.401
0.791 3.441 5.881
2.502 6.626 8.064
5.634 9.989 3.585
```

Peak list (6 most intense, 10° ≤ 2θ ≤ 90°, in order of rising 2θ)
two_theta  Rel. int.
33.1  48
33.9  100
34.0  65
34.8  46
36.8  54
40.3  39